# 1
Simulated XRD peak list
Compound: VBi
Radiation: CuKα
Structure: a structure optimized by DFT (GGA-PBE)
Peak positions follow from Bragg's law for the DFT cell and can differ from measured ones.

Cell and atoms:
```
data_VBi
_cell_length_a 7.300
_cell_length_b 3.491
_cell_length_c 6.684
_cell_angle_alpha 90.00
_cell_angle_beta 90.00
_cell_angle_gamma 90.00
_space_group_name_H-M_alt 'P n m a'
_space_group_IT_number 62
loop_
_space_group_symop_operation_xyz
'x,y,z'
'-x,-y,-z'
'-x+1/2,-y,z+1/2'
'x+1/2,y,-z+1/2'
'x+1/2,-y+1/2,-z+1/2'
'-x+1/2,y+1/2,z+1/2'
'-x,y+1/2,-z'
'x,-y+1/2,z'
loop_
_atom_site_label
_atom_site_type_symbol
_atom_site_fract_x
_atom_site_fract_y
_atom_site_fract_z
_atom_site_occupancy
V1 V 0.001 0.250 0.146 1
Bi1 Bi 0.187 0.250 0.578 1
```

Top 12 peaks for 2θ = 10–90°, in order of rising 2θ:
2θ/deg	d/Å	I/Imax
24.4	3.650	145
29.4	3.039	532
31.4	2.849	1000
35.6	2.523	276
38.1	2.360	251
39.4	2.289	636
48.5	1.878	192
55.0	1.670	229
56.9	1.617	144
61.2	1.514	140
67.5	1.388	159
76.2	1.249	166

# 2
Simulated XRD peak list
Compound: Y3Bi
Radiation: CuKα
Structure: a structure optimized by DFT (GGA-PBE)
Peak positions follow from Bragg's law for the DFT cell and can differ from measured ones.

Cell and atoms:
```
data_Y3Bi
_cell_length_a 4.893
_cell_length_b 4.893
_cell_length_c 4.893
_cell_angle_alpha 90.00
_cell_angle_beta 90.00
_cell_angle_gamma 90.00
_space_group_name_H-M_alt 'P m -3 m'
_space_group_IT_number 221
_space_group_name_Hall '-P 4 2 3'
loop_
_atom_site_label
_atom_site_type_symbol
_atom_site_fract_x
_atom_site_fract_y
_atom_site_fract_z
_atom_site_occupancy
Y1 Y 0.000 0.000 0.500 1
Bi1 Bi 0.500 0.500 0.500 1
```

Top 12 peaks for 2θ = 10–90°, in order of rising 2θ:
2θ/deg	d/Å	I/Imax
18.1	4.893	154
25.8	3.460	141
31.7	2.825	1000
36.7	2.446	502
41.3	2.188	89
45.4	1.997	69
52.9	1.730	350
63.0	1.475	413
66.2	1.412	119
78.1	1.223	56
86.8	1.122	175
89.6	1.094	165

# 3
Simulated XRD peak list
Compound: Y3Bi
Radiation: CuKα
Structure: a structure optimized by DFT (GGA-PBE)
Peak positions follow from Bragg's law for the DFT cell and can differ from measured ones.

Cell and atoms:
```
data_Y3Bi
_cell_length_a 7.0059
_cell_length_b 7.0059
_cell_length_c 5.6046
_cell_angle_alpha 90.00
_cell_angle_beta 90.00
_cell_angle_gamma 120.00
_space_group_name_H-M_alt 'P 63/m m c'
_space_group_IT_number 194
_space_group_name_Hall '-P 6c 2c'
loop_
_atom_site_label
_atom_site_type_symbol
_atom_site_fract_x
_atom_site_fract_y
_atom_site_fract_z
_atom_site_occupancy
Y1 Y 0.1676 0.3352 0.2500 1
Bi1 Bi 0.3333 0.6667 0.7500 1
```

Top 12 peaks for 2θ = 10–90°, in order of rising 2θ:
2θ/deg	d/Å	I/Imax
21.6	4.117	160
29.4	3.034	236
31.9	2.802	254
33.6	2.668	1000
44.0	2.058	157
52.2	1.751	189
58.0	1.591	207
62.5	1.485	219
63.5	1.464	157
81.8	1.178	77
86.7	1.123	136
89.6	1.094	86

# 4
Simulated XRD peak list
Compound: YBi3
Radiation: CuKα
Structure: a structure optimized by DFT (GGA-PBE)
Peak positions follow from Bragg's law for the DFT cell and can differ from measured ones.

Cell and atoms:
```
data_YBi3
_cell_length_a 6.8256
_cell_length_b 6.8256
_cell_length_c 6.0784
_cell_angle_alpha 90.00
_cell_angle_beta 90.00
_cell_angle_gamma 120.00
_space_group_name_H-M_alt 'P 63/m m c'
_space_group_IT_number 194
_space_group_name_Hall '-P 6c 2c'
loop_
_atom_site_label
_atom_site_type_symbol
_atom_site_fract_x
_atom_site_fract_y
_atom_site_fract_z
_atom_site_occupancy
Y1 Y 0.3333 0.6667 0.2500 1
Bi1 Bi 0.1722 0.3444 0.7500 1
```

Top 12 peaks for 2θ = 10–90°, in order of rising 2θ:
2θ/deg	d/Å	I/Imax
21.0	4.238	107
29.4	3.039	319
30.2	2.956	221
33.7	2.658	1000
42.7	2.119	176
53.7	1.706	179
54.9	1.671	255
62.4	1.488	229
64.9	1.436	152
80.4	1.194	86
85.6	1.135	101
89.1	1.099	136

# 5
Simulated XRD peak list
Compound: YBi3
Radiation: CuKα
Structure: a structure optimized by DFT (GGA-PBE)
Peak positions follow from Bragg's law for the DFT cell and can differ from measured ones.

Cell and atoms:
```
data_YBi3
_cell_length_a 4.685
_cell_length_b 4.685
_cell_length_c 11.047
_cell_angle_alpha 90.00
_cell_angle_beta 90.00
_cell_angle_gamma 90.00
_space_group_name_H-M_alt 'I 4/m m m'
_space_group_IT_number 139
_space_group_name_Hall '-I 4 2'
loop_
_atom_site_label
_atom_site_type_symbol
_atom_site_fract_x
_atom_site_fract_y
_atom_site_fract_z
_atom_site_occupancy
Y1 Y 0.000 0.000 0.000 1
Bi1 Bi 0.000 0.000 0.500 1
Bi2 Bi 0.000 0.500 0.250 1
```

Top 12 peaks for 2θ = 10–90°, in order of rising 2θ:
2θ/deg	d/Å	I/Imax
20.6	4.313	70
31.5	2.841	1000
32.4	2.762	232
38.4	2.342	295
51.1	1.786	264
55.5	1.656	104
57.2	1.609	189
65.2	1.431	258
65.7	1.420	126
80.8	1.190	73
82.3	1.171	35
83.8	1.154	134

# 6
Simulated XRD peak list
Compound: ZrBi
Radiation: CuKα
Structure: a structure optimized by DFT (GGA-PBE)
Peak positions follow from Bragg's law for the DFT cell and can differ from measured ones.

Cell and atoms:
```
data_ZrBi
_cell_length_a 3.878
_cell_length_b 10.916
_cell_length_c 14.546
_cell_angle_alpha 90.00
_cell_angle_beta 90.00
_cell_angle_gamma 90.00
_space_group_name_H-M_alt 'C m c m'
_space_group_IT_number 63
_space_group_name_Hall '-C 2c 2'
loop_
_atom_site_label
_atom_site_type_symbol
_atom_site_fract_x
_atom_site_fract_y
_atom_site_fract_z
_atom_site_occupancy
Zr1 Zr 0.000 0.071 0.110 1
Zr2 Zr 0.000 0.392 0.250 1
Bi1 Bi 0.000 0.322 0.750 1
Bi2 Bi 0.000 0.359 0.050 1
```

Top 12 peaks for 2θ = 10–90°, in order of rising 2θ:
2θ/deg	d/Å	I/Imax
24.4	3.654	271
24.5	3.629	427
30.6	2.918	1000
32.8	2.729	309
33.8	2.654	799
34.4	2.610	324
34.8	2.578	561
34.9	2.567	245
37.1	2.424	198
37.8	2.378	390
42.2	2.144	212
46.8	1.940	536

# 7
Simulated XRD peak list
Compound: CaH6C6Br2O8
Radiation: CuKα
Structure: a structure optimized by DFT (GGA-PBE)
Peak positions follow from Bragg's law for the DFT cell and can differ from measured ones.

Cell and atoms:
```
data_CaH6C6Br2O8
_cell_length_a 11.150
_cell_length_b 17.078
_cell_length_c 6.687
_cell_angle_alpha 90.00
_cell_angle_beta 105.89
_cell_angle_gamma 90.00
_space_group_name_H-M_alt 'C 1 2/m 1'
_space_group_IT_number 12
loop_
_space_group_symop_operation_xyz
'x,y,z'
'-x,-y,-z'
'-x,y,-z'
'x,-y,z'
'x+1/2,y+1/2,z'
'-x+1/2,-y+1/2,-z'
'-x+1/2,y+1/2,-z'
'x+1/2,-y+1/2,z'
loop_
_atom_site_label
_atom_site_type_symbol
_atom_site_fract_x
_atom_site_fract_y
_atom_site_fract_z
_atom_site_occupancy
Ca1 Ca 0.200 0.000 0.143 1
H1 H 0.034 0.045 0.720 1
H2 H 0.050 0.151 0.434 1
H3 H 0.246 0.045 0.607 1
C1 C 0.183 0.275 0.146 1
C2 C 0.194 0.194 0.112 1
C3 C 0.238 0.332 0.046 1
Br1 Br 0.095 0.309 0.332 1
O1 O 0.000 0.117 0.500 1
O2 O 0.029 0.000 0.810 1
O3 O 0.071 0.500 0.712 1
O4 O 0.151 0.140 0.202 1
O5 O 0.232 0.000 0.514 1
O6 O 0.235 0.405 0.080 1
```

Top 12 peaks for 2θ = 10–90°, in order of rising 2θ:
2θ/deg	d/Å	I/Imax
10.4	8.539	288
17.6	5.028	491
21.2	4.196	182
23.8	3.735	302
24.3	3.655	1000
26.5	3.361	429
27.4	3.255	243
29.6	3.023	206
31.4	2.846	195
35.7	2.514	286
36.4	2.467	215
37.7	2.389	230

# 8
Simulated XRD peak list
Compound: CdH8C4Br2N8
Radiation: CuKα
Structure: a structure optimized by DFT (GGA-PBE)
Peak positions follow from Bragg's law for the DFT cell and can differ from measured ones.

Cell and atoms:
```
data_CdH8C4Br2N8
_cell_length_a 4.125
_cell_length_b 8.844
_cell_length_c 17.749
_cell_angle_alpha 90.00
_cell_angle_beta 94.17
_cell_angle_gamma 90.00
_space_group_name_H-M_alt 'P 1 21/c 1'
_space_group_IT_number 14
loop_
_space_group_symop_operation_xyz
'x,y,z'
'-x,-y,-z'
'-x,y+1/2,-z+1/2'
'x,-y+1/2,z+1/2'
loop_
_atom_site_label
_atom_site_type_symbol
_atom_site_fract_x
_atom_site_fract_y
_atom_site_fract_z
_atom_site_occupancy
Cd1 Cd 0.000 0.000 0.000 1
H1 H 0.191 0.196 0.633 1
H2 H 0.194 0.717 0.235 1
H3 H 0.358 0.038 0.590 1
H4 H 0.375 0.695 0.150 1
C1 C 0.004 0.507 0.313 1
C2 C 0.194 0.501 0.194 1
Br1 Br 0.500 0.219 0.973 1
N1 N 0.043 0.064 0.751 1
N2 N 0.052 0.061 0.128 1
N3 N 0.250 0.084 0.634 1
N4 N 0.290 0.646 0.197 1
```

Top 12 peaks for 2θ = 10–90°, in order of rising 2θ:
2θ/deg	d/Å	I/Imax
11.2	7.911	1000
18.1	4.908	470
20.1	4.425	368
24.7	3.603	265
29.7	3.012	616
30.3	2.950	198
30.8	2.899	289
31.9	2.803	311
35.1	2.554	170
37.0	2.431	241
44.1	2.055	145
45.9	1.977	147

Repeat the second record exactly.
Simulated XRD peak list
Compound: Y3Bi
Radiation: CuKα
Structure: a structure optimized by DFT (GGA-PBE)
Peak positions follow from Bragg's law for the DFT cell and can differ from measured ones.

Cell and atoms:
```
data_Y3Bi
_cell_length_a 4.893
_cell_length_b 4.893
_cell_length_c 4.893
_cell_angle_alpha 90.00
_cell_angle_beta 90.00
_cell_angle_gamma 90.00
_space_group_name_H-M_alt 'P m -3 m'
_space_group_IT_number 221
_space_group_name_Hall '-P 4 2 3'
loop_
_atom_site_label
_atom_site_type_symbol
_atom_site_fract_x
_atom_site_fract_y
_atom_site_fract_z
_atom_site_occupancy
Y1 Y 0.000 0.000 0.500 1
Bi1 Bi 0.500 0.500 0.500 1
```

Top 12 peaks for 2θ = 10–90°, in order of rising 2θ:
2θ/deg	d/Å	I/Imax
18.1	4.893	154
25.8	3.460	141
31.7	2.825	1000
36.7	2.446	502
41.3	2.188	89
45.4	1.997	69
52.9	1.730	350
63.0	1.475	413
66.2	1.412	119
78.1	1.223	56
86.8	1.122	175
89.6	1.094	165